(1)
For BaEr2O4, the GGA-PBE geometry in Alexandria gives the computed powder diffraction line list in this record (Cu Kα, 1.54184 Å).
Neutral-atom scattering factors, no anomalous dispersion.

Crystal structure
Unit cell a=5.895 b=5.895 c=11.445 alpha=90.00 beta=90.00 gamma=146.22
Element x y z (fractional)
Ba (0.112, 0.888, 0.750)
Ba (0.888, 0.112, 0.250)
Er (0.365, 0.635, 0.571)
Er (0.365, 0.635, 0.929)
Er (0.635, 0.365, 0.071)
Er (0.635, 0.365, 0.429)
O (0.000, 0.000, 0.000)
O (0.000, 0.000, 0.500)
O (0.260, 0.740, 0.101)
O (0.260, 0.740, 0.399)
O (0.436, 0.564, 0.750)
O (0.564, 0.436, 0.250)
O (0.740, 0.260, 0.601)
O (0.740, 0.260, 0.899)

Top 12 peaks for 15° ≤ 2θ ≤ 90°, most intense first:
28.26 deg, I 100.0; 31.45 deg, I 25.9; 38.89 deg, I 23.7; 31.73 deg, I 23.3; 36.34 deg, I 21.5; 61.59 deg, I 17.0; 48.51 deg, I 15.3; 54.40 deg, I 12.3; 35.45 deg, I 11.5; 54.00 deg, I 10.0; 54.30 deg, I 9.9; 47.68 deg, I 9.6

(2)
For Ba2ErOs3O12, the GGA-PBE geometry in Alexandria gives the computed powder diffraction line list in this record (Cu Kα, 1.54184 Å).
Neutral-atom scattering factors, no anomalous dispersion.

Crystal structure
Unit cell a=7.280 b=7.280 c=7.280 alpha=60.16 beta=60.16 gamma=60.16
Element x y z (fractional)
Ba (0.137, 0.137, 0.137)
Ba (0.863, 0.863, 0.863)
Er (0.500, 0.500, 0.500)
Os (0.000, 0.500, 0.500)
Os (0.500, 0.000, 0.500)
Os (0.500, 0.500, 0.000)
O (0.120, 0.605, 0.605)
O (0.205, 0.205, 0.584)
O (0.205, 0.584, 0.205)
O (0.395, 0.395, 0.880)
O (0.395, 0.880, 0.395)
O (0.416, 0.795, 0.795)
O (0.584, 0.205, 0.205)
O (0.605, 0.120, 0.605)
O (0.605, 0.605, 0.120)
O (0.795, 0.416, 0.795)
O (0.795, 0.795, 0.416)
O (0.880, 0.395, 0.395)

Top 12 peaks for 15° ≤ 2θ ≤ 90°, most intense first:
28.72 deg, I 100.0; 30.04 deg, I 51.4; 45.73 deg, I 32.1; 50.00 deg, I 22.0; 59.46 deg, I 20.3; 50.12 deg, I 16.8; 70.07 deg, I 14.2; 24.43 deg, I 12.2; 58.69 deg, I 9.1; 70.20 deg, I 8.0; 80.63 deg, I 6.3; 73.50 deg, I 5.8